No. 1
Structure and computed powder X-ray diffraction pattern of Ba6Pr3I19 (a cell relaxed with PBE; Cu Kα (weighted mean of Kα1 and Kα2)).

Most intense lines, 2θ = 10–90°, by angle:
| 2θ (°) | Rel. int. |
| --- | --- |
| 25.39 | 34.0 |
| 26.64 | 34.5 |
| 27.02 | 39.8 |
| 27.40 | 33.9 |
| 28.37 | 31.8 |
| 29.78 | 26.0 |
| 31.41 | 100.0 |
| 32.30 | 26.3 |
| 45.01 | 28.4 |
| 50.69 | 28.4 |

abc: 10.344 10.344 22.995
angles: 93.94 93.94 76.07
Sites, in units of the cell vectors:
Ba (0.086, 0.853, 0.606)
Ba (0.147, 0.914, 0.894)
Ba (0.216, 0.418, 0.784)
Ba (0.266, 0.413, 0.039)
Ba (0.413, 0.266, 0.539)
Ba (0.418, 0.216, 0.284)
Ba (0.582, 0.784, 0.716)
Ba (0.587, 0.734, 0.461)
Ba (0.734, 0.587, 0.961)
Ba (0.784, 0.582, 0.216)
Ba (0.853, 0.086, 0.106)
Ba (0.914, 0.147, 0.394)
Pr (0.127, 0.635, 0.375)
Pr (0.247, 0.753, 0.250)
Pr (0.365, 0.873, 0.125)
Pr (0.635, 0.127, 0.875)
Pr (0.753, 0.247, 0.750)
Pr (0.873, 0.365, 0.625)
I (0.069, 0.155, 0.715)
I (0.072, 0.583, 0.914)
I (0.074, 0.160, 0.535)
I (0.096, 0.756, 0.116)
I (0.136, 0.478, 0.244)
I (0.155, 0.069, 0.215)
I (0.160, 0.074, 0.035)
I (0.160, 0.461, 0.634)
I (0.201, 0.311, 0.401)
I (0.244, 0.904, 0.384)
I (0.246, 0.754, 0.750)
I (0.302, 0.614, 0.504)
I (0.311, 0.201, 0.901)
I (0.386, 0.698, 0.996)
I (0.417, 0.928, 0.586)
I (0.444, 0.542, 0.341)
I (0.458, 0.556, 0.159)
I (0.461, 0.160, 0.134)
I (0.478, 0.136, 0.744)
I (0.522, 0.864, 0.256)
I (0.539, 0.840, 0.866)
I (0.542, 0.444, 0.841)
I (0.556, 0.458, 0.659)
I (0.583, 0.072, 0.414)
I (0.614, 0.302, 0.004)
I (0.689, 0.799, 0.099)
I (0.698, 0.386, 0.496)
I (0.754, 0.246, 0.250)
I (0.756, 0.096, 0.616)
I (0.799, 0.689, 0.599)
I (0.840, 0.539, 0.366)
I (0.840, 0.926, 0.965)
I (0.845, 0.931, 0.785)
I (0.864, 0.522, 0.756)
I (0.904, 0.244, 0.884)
I (0.926, 0.840, 0.465)
I (0.928, 0.417, 0.086)
I (0.931, 0.845, 0.285)

***

No. 2
Structure and computed powder X-ray diffraction pattern of RbBa2I5 (a cell relaxed with PBE; Cu Kα (weighted mean of Kα1 and Kα2)).

Most intense lines, 2θ = 10–90°, by angle:
| 2θ (°) | Rel. int. |
| --- | --- |
| 22.56 | 45.7 |
| 25.41 | 38.1 |
| 25.87 | 75.6 |
| 26.18 | 32.6 |
| 26.80 | 23.1 |
| 27.89 | 100.0 |
| 28.83 | 35.7 |
| 29.07 | 49.1 |
| 33.86 | 40.2 |
| 35.53 | 27.8 |

abc: 10.586 9.492 15.086
angles: 90.00 90.04 90.00
Sites, in units of the cell vectors:
Rb (0.007, 0.021, 0.179)
Rb (0.007, 0.479, 0.679)
Rb (0.993, 0.521, 0.321)
Rb (0.993, 0.979, 0.821)
Ba (0.251, 0.078, 0.492)
Ba (0.251, 0.422, 0.992)
Ba (0.500, 0.025, 0.180)
Ba (0.500, 0.475, 0.680)
Ba (0.500, 0.525, 0.320)
Ba (0.500, 0.975, 0.820)
Ba (0.749, 0.578, 0.008)
Ba (0.749, 0.922, 0.508)
I (0.042, 0.665, 0.091)
I (0.042, 0.835, 0.591)
I (0.269, 0.197, 0.719)
I (0.269, 0.303, 0.219)
I (0.279, 0.042, 0.997)
I (0.279, 0.458, 0.497)
I (0.280, 0.667, 0.816)
I (0.280, 0.833, 0.316)
I (0.455, 0.664, 0.098)
I (0.455, 0.836, 0.598)
I (0.545, 0.164, 0.402)
I (0.545, 0.336, 0.902)
I (0.720, 0.167, 0.684)
I (0.720, 0.333, 0.184)
I (0.721, 0.542, 0.503)
I (0.721, 0.958, 0.003)
I (0.731, 0.697, 0.781)
I (0.731, 0.803, 0.281)
I (0.958, 0.165, 0.409)
I (0.958, 0.335, 0.909)

***

No. 3
Structure and computed powder X-ray diffraction pattern of Ba3SbI3 (a cell relaxed with PBE; Cu Kα (weighted mean of Kα1 and Kα2)).

Most intense lines, 2θ = 10–90°, by angle:
| 2θ (°) | Rel. int. |
| --- | --- |
| 23.34 | 7.2 |
| 24.97 | 100.0 |
| 35.61 | 78.1 |
| 43.98 | 28.3 |
| 51.24 | 13.4 |
| 57.82 | 36.9 |
| 63.95 | 27.0 |
| 75.40 | 8.3 |
| 80.87 | 17.2 |
| 86.26 | 11.8 |

abc: 12.352 12.352 12.352
angles: 109.47 109.47 109.47
Sites, in units of the cell vectors:
Ba (0.007, 0.013, 0.257)
Ba (0.007, 0.493, 0.750)
Ba (0.013, 0.257, 0.007)
Ba (0.243, 0.257, 0.750)
Ba (0.243, 0.487, 0.493)
Ba (0.257, 0.007, 0.013)
Ba (0.257, 0.750, 0.243)
Ba (0.487, 0.493, 0.243)
Ba (0.493, 0.243, 0.487)
Ba (0.493, 0.750, 0.007)
Ba (0.750, 0.007, 0.493)
Ba (0.750, 0.243, 0.257)
Sb (0.000, 0.250, 0.500)
Sb (0.250, 0.250, 0.250)
Sb (0.250, 0.500, 0.000)
Sb (0.500, 0.000, 0.250)
I (0.001, 0.002, 0.751)
I (0.001, 0.499, 0.250)
I (0.002, 0.751, 0.001)
I (0.250, 0.001, 0.499)
I (0.250, 0.749, 0.751)
I (0.498, 0.499, 0.749)
I (0.499, 0.250, 0.001)
I (0.499, 0.749, 0.498)
I (0.749, 0.498, 0.499)
I (0.749, 0.751, 0.250)
I (0.751, 0.001, 0.002)
I (0.751, 0.250, 0.749)

***

No. 4
Structure and computed powder X-ray diffraction pattern of Ba3SiI2 (a cell relaxed with PBE; Cu Kα (weighted mean of Kα1 and Kα2)).

Most intense lines, 2θ = 10–90°, by angle:
| 2θ (°) | Rel. int. |
| --- | --- |
| 24.98 | 100.0 |
| 29.47 | 5.9 |
| 32.48 | 10.1 |
| 35.11 | 11.4 |
| 35.62 | 47.1 |
| 36.11 | 11.5 |
| 43.58 | 11.1 |
| 44.41 | 12.8 |
| 51.26 | 9.5 |
| 57.84 | 16.5 |

abc: 16.540 15.777 8.771
angles: 79.11 69.50 31.38
Sites, in units of the cell vectors:
Ba (0.030, 0.537, 0.180)
Ba (0.082, 0.668, 0.668)
Ba (0.180, 0.753, 0.030)
Ba (0.247, 0.820, 0.463)
Ba (0.332, 0.918, 0.918)
Ba (0.463, 0.970, 0.247)
Ba (0.537, 0.030, 0.753)
Ba (0.668, 0.082, 0.082)
Ba (0.753, 0.180, 0.537)
Ba (0.820, 0.247, 0.970)
Ba (0.918, 0.332, 0.332)
Ba (0.970, 0.463, 0.820)
Si (0.041, 0.041, 0.209)
Si (0.209, 0.209, 0.041)
Si (0.791, 0.791, 0.959)
Si (0.959, 0.959, 0.791)
I (0.129, 0.129, 0.621)
I (0.298, 0.298, 0.452)
I (0.379, 0.379, 0.871)
I (0.452, 0.452, 0.298)
I (0.548, 0.548, 0.702)
I (0.621, 0.621, 0.129)
I (0.702, 0.702, 0.548)
I (0.871, 0.871, 0.379)